Starting from a structure optimized by DFT (PBE), the XRD peak list of U2Se3S2 was simulated for Cu Kα X-rays.
Intensities are scaled so that the largest is 100.

Structural model:
Cell: 3.6238 4.2566 19.5954 Å, 90.00 90.00 90.00°
Fractional positions:
U1 0.0000 0.0000 0.1223
U2 0.0000 0.0000 0.8777
U3 0.5000 0.5000 0.3777
U4 0.5000 0.5000 0.6223
Se1 0.0000 0.5000 0.2511
Se2 0.0000 0.5000 0.5000
Se3 0.0000 0.5000 0.7489
Se4 0.5000 0.0000 0.0000
Se5 0.5000 0.0000 0.2489
Se6 0.5000 0.0000 0.7511
S1 0.0000 0.0000 0.3862
S2 0.0000 0.0000 0.6138
S3 0.5000 0.5000 0.1138
S4 0.5000 0.5000 0.8862

Principal peaks in the range 2θ = 10–90°, low angle first:
(hkl), 2θ (°), I/Imax
0 0 4, 18.11, 20
0 1 1, 21.36, 45
1 0 1, 24.98, 18
1 0 3, 28.16, 22
1 0 5, 33.69, 19
0 0 8, 36.69, 26
1 1 4, 37.41, 100
0 2 0, 42.47, 18
1 2 5, 55.29, 16
1 1 12, 66.54, 17

=====

Starting from a structure optimized by DFT (PBE), the XRD peak list of CeNd4Y8 was simulated for Cu Kα X-rays.
Intensities are scaled so that the largest is 100.

Structural model:
Cell: 7.8516 7.8516 7.8516 Å, 90.00 90.00 90.00°
Fractional positions:
Ce1 0.0000 0.0000 0.0000
Nd1 0.0000 0.0000 0.5000
Nd2 0.0000 0.5000 0.0000
Nd3 0.5000 0.0000 0.0000
Nd4 0.5000 0.5000 0.5000
Y1 0.2584 0.2584 0.2584
Y2 0.2584 0.2584 0.7416
Y3 0.2584 0.7416 0.2584
Y4 0.2584 0.7416 0.7416
Y5 0.7416 0.2584 0.2584
Y6 0.7416 0.2584 0.7416
Y7 0.7416 0.7416 0.2584
Y8 0.7416 0.7416 0.7416

Principal peaks in the range 2θ = 10–90°, low angle first:
(hkl), 2θ (°), I/Imax
1 1 0, 15.96, 5
1 1 1, 19.58, 22
2 1 0, 25.37, 6
2 2 0, 32.25, 100
3 1 1, 38.01, 12
4 0 0, 46.25, 18
3 3 1, 50.68, 5
4 2 2, 57.50, 37
4 4 0, 67.48, 11
6 2 0, 76.78, 15

=====

Starting from a structure optimized by DFT (PBE), the XRD peak list of VCrCuBr was simulated for Cu Kα X-rays.
Intensities are scaled so that the largest is 100.

Structural model:
Cell: 8.5205 3.1326 6.2038 Å, 90.00 92.60 90.00°
Fractional positions:
V1 0.0000 0.0000 0.0000
V2 0.5000 0.5000 0.0000
Cr1 0.0582 0.5000 0.7117
Cr2 0.5582 0.0000 0.7117
Cu1 0.2816 0.0000 0.8311
Cu2 0.7816 0.5000 0.8311
Br1 0.1155 0.5000 0.2991
Br2 0.6155 0.0000 0.2991

Principal peaks in the range 2θ = 10–90°, low angle first:
(hkl), 2θ (°), I/Imax
0 0 1, 14.29, 47
2 0 0, 20.87, 56
2 0 -1, 24.84, 38
0 0 2, 28.81, 42
1 1 1, 33.96, 100
2 0 -2, 35.04, 36
1 1 2, 42.73, 62
3 1 0, 43.01, 69
4 0 1, 45.70, 30
3 1 -2, 51.71, 42